# Pr2NdTe4
Theoretical powder diffraction line list, copper Kα. Input: the GGA-PBE geometry in Alexandria.

Top 10 peaks for 2θ = 10–80°, by angle:
| Position (°2θ) | I (rel.) |
| --- | --- |
| 21.01 | 48 |
| 26.05 | 67 |
| 27.75 | 77 |
| 29.55 | 100 |
| 36.16 | 56 |
| 38.34 | 33 |
| 40.32 | 43 |
| 41.20 | 55 |
| 49.40 | 23 |
| 59.01 | 28 |

Crystal structure
Cell: 7.7707 7.7707 15.3971 Å, 90.00 90.00 147.24°
Positions (direct):
Pr1 0.1318 0.8682 0.5697
Pr2 0.1318 0.8682 0.9303
Pr3 0.8682 0.1318 0.0697
Pr4 0.8682 0.1318 0.4303
Nd1 0.3737 0.6263 0.7500
Nd2 0.6263 0.3737 0.2500
Te1 0.0293 0.9707 0.7500
Te2 0.2203 0.7797 0.1244
Te3 0.2203 0.7797 0.3756
Te4 0.5000 0.5000 0.0000
Te5 0.5000 0.5000 0.5000
Te6 0.7797 0.2203 0.6244
Te7 0.7797 0.2203 0.8756
Te8 0.9707 0.0293 0.2500